1.
Structure and computed XRD peak list of BaFeNi2P8 (a structure optimized by DFT (PBE); copper Kα).

The 10 most intense peaks (10 to 80 degrees two-theta), by intensity:
33.5 deg, I 100
25.0 deg, I 92
30.6 deg, I 87
54.4 deg, I 53
40.1 deg, I 39
39.9 deg, I 29
41.0 deg, I 28
51.1 deg, I 25
60.9 deg, I 23
51.6 deg, I 18

Crystal structure
```
12
Lattice="2.9222 1.6871 6.6839 -2.9222 1.6871 6.6839 0.0000 -3.3743 6.6839" Properties=species:S:1:pos:R:3 pbc="T T T"
Ba 0.0000 0.0000 0.0000
Fe 0.0000 0.0000 10.0259
Ni 0.0000 0.0000 5.5140
Ni 0.0000 0.0000 14.5378
P -1.1388 -1.8076 9.1566
P -2.1348 0.0824 10.8952
P 0.0000 0.0000 7.7143
P -0.9960 1.8900 9.1566
P 0.9960 -1.8900 10.8952
P 0.0000 0.0000 12.3375
P 2.1348 -0.0824 9.1566
P 1.1388 1.8076 10.8952
```

2.
Structure and computed XRD peak list of Ce4Se3N2 (a structure optimized by DFT (PBE); copper Kα).

The 10 most intense peaks (10 to 80 degrees two-theta), by intensity:
27.5 deg, I 100
26.4 deg, I 92
35.7 deg, I 80
30.9 deg, I 75
39.4 deg, I 72
27.7 deg, I 65
31.0 deg, I 53
36.7 deg, I 37
39.5 deg, I 36
33.8 deg, I 26

Crystal structure
```
18
Lattice="6.4990 -5.0203 0.0000 6.4990 5.0203 0.0000 -0.0151 0.0000 6.4334" Properties=species:S:1:pos:R:3 pbc="T T T"
Ce 4.8800 3.1992 3.4049
Ce 4.3653 0.7712 0.4708
Ce 8.0953 3.1992 6.2452
Ce 4.3577 -0.7712 3.6875
Ce 8.6251 0.7712 2.7459
Ce 4.8875 -3.1992 0.1882
Ce 8.6176 -0.7712 5.9626
Ce 8.1029 -3.1992 3.0285
Se 5.0026 3.7227 0.2046
Se 7.9878 3.7227 3.0121
Se 6.4877 0.9941 4.8250
Se 6.4952 -0.9941 1.6083
Se 4.9950 -3.7227 3.4212
Se 7.9803 -3.7227 6.2288
N 3.8116 1.2632 2.6620
N 3.8040 -1.2632 5.8787
N 9.1788 1.2632 0.5547
N 9.1713 -1.2632 3.7714
```

3.
Structure and computed XRD peak list of SmEr2In3Se6 (a structure optimized by DFT (PBE); copper Kα).

The 10 most intense peaks (10 to 80 degrees two-theta), by intensity:
29.2 deg, I 100
39.9 deg, I 37
43.6 deg, I 35
53.3 deg, I 18
71.2 deg, I 15
65.9 deg, I 13
11.4 deg, I 11
60.5 deg, I 11
25.9 deg, I 10
77.5 deg, I 10

Crystal structure
```
12
Lattice="3.5998 -6.2332 0.0000 3.5998 6.2332 0.0000 -2.3984 0.0000 7.7433" Properties=species:S:1:pos:R:3 pbc="T T T"
Sm 0.0000 0.0000 0.0000
Er 3.5998 2.0790 0.0000
Er 3.5998 -2.0790 0.0000
In 2.4006 4.1786 3.8716
In 2.4006 0.0000 3.8716
In 2.4006 -4.1786 3.8716
Se 1.2274 2.1253 1.6197
Se 0.0560 0.0000 6.1407
Se 1.2274 -2.1253 1.6197
Se 3.5737 2.1253 6.1235
Se 4.7452 0.0000 1.6026
Se 3.5737 -2.1253 6.1235
```

4.
Structure and computed XRD peak list of SmPu3Pb4 (a structure optimized by DFT (PBE); copper Kα).

The 10 most intense peaks (10 to 80 degrees two-theta), by intensity:
32.0 deg, I 100
35.8 deg, I 37
54.5 deg, I 23
62.0 deg, I 16
61.9 deg, I 16
39.6 deg, I 14
51.6 deg, I 13
66.9 deg, I 13
67.1 deg, I 12
76.0 deg, I 2

Crystal structure
```
8
Lattice="4.5513 0.0000 0.0000 0.0000 5.0105 0.0000 0.0000 0.0000 10.0342" Properties=species:S:1:pos:R:3 pbc="T T T"
Sm 0.0000 0.0000 0.0000
Pu 0.0000 0.0000 5.0171
Pu 0.0000 2.5053 2.5448
Pu 0.0000 2.5053 7.4894
Pb 2.2757 0.0000 2.5219
Pb 2.2757 0.0000 7.5123
Pb 2.2757 2.5053 0.0000
Pb 2.2757 2.5053 5.0171
```

5.
Structure and computed XRD peak list of TaTi2Cu2 (a structure optimized by DFT (PBE); copper Kα).

The 10 most intense peaks (10 to 80 degrees two-theta), by intensity:
39.7 deg, I 100
39.8 deg, I 92
40.5 deg, I 53
24.1 deg, I 48
51.3 deg, I 31
47.6 deg, I 29
31.0 deg, I 28
12.6 deg, I 27
64.2 deg, I 26
78.7 deg, I 23

Crystal structure
```
5
Lattice="1.9114 -7.0278 0.0000 1.9114 7.0278 0.0000 0.0000 0.0000 2.8831" Properties=species:S:1:pos:R:3 pbc="T T T"
Ta 0.0000 0.0000 0.0000
Ti 1.9114 1.6451 1.4416
Ti 1.9114 -1.6451 1.4416
Cu 1.9114 4.2311 0.0000
Cu 1.9114 -4.2311 0.0000
```

6.
Structure and computed XRD peak list of Tb3TeBr7 (a structure optimized by DFT (PBE); copper Kα).

The 10 most intense peaks (10 to 80 degrees two-theta), by intensity:
27.3 deg, I 100
12.3 deg, I 72
34.9 deg, I 67
42.8 deg, I 38
45.1 deg, I 31
12.1 deg, I 30
44.7 deg, I 20
51.5 deg, I 16
56.4 deg, I 16
73.3 deg, I 14

Crystal structure
```
11
Lattice="8.4574 0.0000 0.0000 -4.2287 7.3243 0.0000 0.0000 0.0000 7.2043" Properties=species:S:1:pos:R:3 pbc="T T T"
Tb -2.0595 3.6938 0.0000
Tb 2.0595 3.6938 0.0000
Tb 0.0000 7.2610 0.0000
Te 0.0000 4.8829 1.8351
Br 0.0000 2.5749 5.6023
Br -1.9988 6.0369 5.6023
Br 2.2251 1.2846 1.4725
Br 1.9988 6.0369 5.6023
Br 4.2287 2.4414 5.5439
Br 6.2323 1.2846 1.4725
Br 4.2287 4.7550 1.4725
```

7.
Structure and computed XRD peak list of Cs2ScGe2S6 (a structure optimized by DFT (PBE); copper Kα).

The 10 most intense peaks (10 to 80 degrees two-theta), by intensity:
25.0 deg, I 100
24.2 deg, I 88
23.7 deg, I 42
51.3 deg, I 36
29.9 deg, I 36
34.7 deg, I 26
42.9 deg, I 26
43.5 deg, I 25
44.0 deg, I 25
30.5 deg, I 24

Crystal structure
```
11
Lattice="6.1779 -3.5625 0.0000 6.1779 3.5625 0.0000 -3.8844 0.0000 7.7149" Properties=species:S:1:pos:R:3 pbc="T T T"
Cs 2.0582 0.0000 1.1249
Cs 6.4132 0.0000 6.5899
Sc -1.9422 0.0000 3.8574
Ge 2.2849 0.0000 5.0702
Ge 6.1865 0.0000 2.6446
S 0.1198 0.0000 5.4666
S 5.1133 1.8477 2.1074
S 3.3580 1.8477 5.6075
S 5.1133 -1.8477 2.1074
S 3.3580 -1.8477 5.6075
S 8.3516 0.0000 2.2483
```

8.
Structure and computed XRD peak list of InCu6Au12 (a structure optimized by DFT (PBE); copper Kα).

The 10 most intense peaks (10 to 80 degrees two-theta), by intensity:
31.0 deg, I 100
38.5 deg, I 69
42.3 deg, I 65
44.9 deg, I 38
43.5 deg, I 31
46.5 deg, I 30
76.5 deg, I 25
15.7 deg, I 19
40.4 deg, I 18
71.5 deg, I 17

Crystal structure
```
19
Lattice="5.6584 3.2669 3.0608 -5.6584 3.2669 3.0608 0.0000 -6.5337 3.0608" Properties=species:S:1:pos:R:3 pbc="T T T"
In 0.0000 0.0000 0.0000
Cu -1.4173 0.3235 2.6566
Cu 0.4285 -1.3892 2.6566
Cu 0.9888 1.0657 2.6566
Cu -0.9888 -1.0657 6.5258
Cu -0.4285 1.3892 6.5258
Cu 1.4173 -0.3235 6.5258
Au -0.7422 -3.8274 2.6481
Au -2.9435 2.5565 2.6481
Au -1.9671 -1.8143 4.1325
Au -3.6857 -1.2709 6.5344
Au -2.5547 0.7964 5.0500
Au 0.5877 -2.6107 5.0500
Au -0.5877 2.6107 4.1325
Au 2.5547 -0.7964 4.1325
Au 3.6857 1.2709 2.6481
Au 1.9671 1.8143 5.0500
Au 2.9435 -2.5565 6.5344
Au 0.7422 3.8274 6.5344
```